Calculated PXRD pattern
Compound: Na10Mn4O9
Radiation: Cu Kα, 1.54184 Å
Structure: a PBE+U-relaxed structure

Cell and atoms:
```
Na10Mn4O9
1.0
6.8519 -5.6421 0.0000
6.8519 5.6421 0.0000
-2.4358 0.0000 8.5676
Na Mn O
20 8 18
direct
0.0000 0.0000 0.0000 Na
0.0408 0.2993 0.3138 Na
0.0509 0.3785 0.6358 Na
0.2002 0.6456 0.7538 Na
0.2311 0.4916 0.2315 Na
0.2382 0.7696 0.4807 Na
0.2993 0.0408 0.3138 Na
0.3373 0.7199 0.1119 Na
0.3785 0.0509 0.6358 Na
0.3846 0.3846 0.9363 Na
0.4916 0.2311 0.2315 Na
0.4964 0.7614 0.7654 Na
0.6236 0.9387 0.3893 Na
0.6397 0.6397 0.0543 Na
0.6456 0.2002 0.7538 Na
0.7199 0.3373 0.1119 Na
0.7614 0.4964 0.7654 Na
0.7696 0.2382 0.4807 Na
0.7825 0.7825 0.6531 Na
0.9387 0.6236 0.3893 Na
0.0308 0.0308 0.6610 Mn
0.0348 0.3290 0.9698 Mn
0.3290 0.0348 0.9698 Mn
0.4011 0.4011 0.5719 Mn
0.5882 0.5882 0.4081 Mn
0.6677 0.9749 0.0347 Mn
0.9689 0.9689 0.3262 Mn
0.9749 0.6677 0.0347 Mn
0.1161 0.1161 0.4928 O
0.1157 0.8036 0.2046 O
0.1252 0.5035 0.9040 O
0.1929 0.5130 0.4880 O
0.1978 0.1978 0.1165 O
0.2178 0.8990 0.7803 O
0.4914 0.4914 0.1936 O
0.4938 0.9024 0.1230 O
0.5002 0.8004 0.5158 O
0.5021 0.5021 0.7900 O
0.5035 0.1252 0.9040 O
0.5130 0.1929 0.4880 O
0.7775 0.7775 0.9074 O
0.8004 0.5002 0.5158 O
0.8036 0.1157 0.2046 O
0.8890 0.8890 0.4940 O
0.8990 0.2178 0.7803 O
0.9024 0.4938 0.1230 O
```

Most intense lines, 5 to 70 degrees two-theta, by angle:
| 2θ/deg | I/Imax |
| --- | --- |
| 14.54 | 36 |
| 20.73 | 33 |
| 21.54 | 41 |
| 33.42 | 25 |
| 34.53 | 100 |
| 34.83 | 67 |
| 34.95 | 33 |
| 40.51 | 31 |
| 48.40 | 25 |
| 48.94 | 45 |